# Li3NiB2O6
Computed X-ray powder pattern, Cu Kα, 1.54184 Å. Input: a cell relaxed with PBE+U.
Intensities are scaled so that the largest is 100.

a b c (Å): 5.2138 8.9049 10.8594
angles (deg): 90.00 116.65 90.00
Space group P2_1/c (No. 14)
Unique sites:
Li (0.0050, 0.0154, 0.1668)
Li (0.0447, 0.6676, 0.8790)
Li (0.4307, 0.0086, 0.6086)
Ni (0.4710, 0.6767, 0.6244)
B (0.0506, 0.1731, 0.3804)
B (0.4740, 0.1585, 0.1312)
O (0.1331, 0.1890, 0.8485)
O (0.1835, 0.6711, 0.0912)
O (0.1933, 0.0432, 0.3818)
O (0.3176, 0.6604, 0.4144)
O (0.3628, 0.0235, 0.1506)
O (0.3706, 0.2123, 0.6641)

Most intense lines, 5° ≤ 2θ ≤ 70°, most intense first:
20.85 deg, d 4.261, rel. 100; 37.05 deg, d 2.426, rel. 92; 19.05 deg, d 4.660, rel. 79; 34.78 deg, d 2.579, rel. 72; 19.94 deg, d 4.452, rel. 52; 22.02 deg, d 4.037, rel. 37; 26.61 deg, d 3.350, rel. 35; 34.42 deg, d 2.605, rel. 28